Computed XRD peak list of LiAgSe for a wavelength of 1.5418 Å, from a crystal structure in OQMD, relaxed with PBE.
Neutral-atom scattering factors, no anomalous dispersion.

The 10 most intense peaks (10° ≤ 2θ ≤ 90°), sorted by position:
2theta	I_rel
12.9	100.0
25.4	51.3
33.7	74.7
39.5	17.9
40.9	92.3
44.4	39.4
46.4	16.0
51.8	14.0
60.9	19.0
79.3	25.2

Structural model:
a b c (Å): 5.7714 5.7728 13.7010
angles (deg): 90.00 90.00 90.00
Space group Cmce (No. 64)
Asymmetric unit:
Li (0.0000, 0.2453, 0.1706) (multiplicity 8)
Ag (0.2502, 0.0000, 0.0000) (multiplicity 8)
Se (0.0000, 0.2497, 0.3608) (multiplicity 8)